No. 1
Rb4Np3VS8: computed X-ray powder pattern (a wavelength of 1.5418 Å), based on the GGA-PBE geometry in Alexandria.
Peak positions follow from Bragg's law for the DFT cell and can differ from measured ones.

Largest 10 diffraction maxima, by intensity, 5 to 70 degrees two-theta:
| d [Å] | I (rel.) | (hkl) |
| --- | --- | --- |
| 2.971 | 100.0 | 0 2 4 |
| 3.320 | 50.5 | 2 0 2 |
| 7.683 | 42.5 | 0 0 3 |
| 2.216 | 38.4 | 2 0 8 |
| 2.002 | 33.2 | 2 2 0 |
| 3.841 | 31.7 | 0 0 6 |
| 1.920 | 23.2 | 0 0 12 |
| 1.775 | 22.1 | 2 2 6 |
| 1.486 | 19.6 | 0 4 8 |
| 1.386 | 19.6 | 2 2 12 |

```
data_Rb4Np3VS8
_cell_length_a 8.0077
_cell_length_b 8.0077
_cell_length_c 23.0485
_cell_angle_alpha 90.00
_cell_angle_beta 90.00
_cell_angle_gamma 120.00
_symmetry_space_group_name_H-M 'R -3 m'
_symmetry_Int_Tables_number 166
_symmetry_space_group_name_Hall '-R 3 2"'
loop_
_atom_site_label
_atom_site_type_symbol
_atom_site_fract_x
_atom_site_fract_y
_atom_site_fract_z
Rb1 Rb 0.0000 0.0000 0.0000
Rb2 Rb 0.0000 0.5000 0.0000
Np1 Np 0.0000 0.5000 0.5000
V1 V 0.0000 0.0000 0.5000
S1 S 0.0000 0.0000 0.2315
S2 S 0.0141 0.5071 0.2286
```

No. 2
Rb3Np3WS8: computed X-ray powder pattern (a wavelength of 1.5418 Å), based on the GGA-PBE geometry in Alexandria.
Peak positions follow from Bragg's law for the DFT cell and can differ from measured ones.

Largest 10 diffraction maxima, by intensity, 5 to 70 degrees two-theta:
| d [Å] | I (rel.) | (hkl) |
| --- | --- | --- |
| 2.953 | 100.0 | 0 2 4 |
| 7.900 | 93.0 | 0 0 3 |
| 3.273 | 53.7 | 2 0 2 |
| 2.235 | 39.7 | 2 0 8 |
| 3.950 | 33.1 | 0 0 6 |
| 1.966 | 32.8 | 2 2 0 |
| 3.371 | 24.7 | 0 2 1 |
| 1.760 | 23.3 | 2 2 6 |
| 2.401 | 20.9 | 0 2 7 |
| 1.945 | 19.8 | 0 2 10 |

```
data_Rb3Np3WS8
_cell_length_a 7.8648
_cell_length_b 7.8648
_cell_length_c 23.7005
_cell_angle_alpha 90.00
_cell_angle_beta 90.00
_cell_angle_gamma 120.00
_symmetry_space_group_name_H-M 'R -3 m'
_symmetry_Int_Tables_number 166
_symmetry_space_group_name_Hall '-R 3 2"'
loop_
_atom_site_label
_atom_site_type_symbol
_atom_site_fract_x
_atom_site_fract_y
_atom_site_fract_z
Rb1 Rb 0.0000 0.5000 0.0000
Np1 Np 0.0000 0.5000 0.5000
W1 W 0.0000 0.0000 0.5000
S1 S 0.0000 0.0000 0.2316
S2 S 0.0261 0.5130 0.2269
```

No. 3
Rb4YNp3S8: computed X-ray powder pattern (a wavelength of 1.5418 Å), based on the GGA-PBE geometry in Alexandria.
Peak positions follow from Bragg's law for the DFT cell and can differ from measured ones.

Largest 10 diffraction maxima, by intensity, 5 to 70 degrees two-theta:
| d [Å] | I (rel.) | (hkl) |
| --- | --- | --- |
| 3.032 | 100.0 | 0 2 4 |
| 3.407 | 53.2 | 2 0 2 |
| 7.673 | 43.9 | 0 0 3 |
| 2.240 | 37.2 | 2 0 8 |
| 2.060 | 34.3 | 2 2 0 |
| 3.837 | 27.3 | 0 0 6 |
| 1.815 | 22.5 | 2 2 6 |
| 1.704 | 18.0 | 4 0 4 |
| 1.934 | 16.3 | 0 2 10 |
| 1.404 | 14.2 | 2 2 12 |

```
data_Rb4YNp3S8
_cell_length_a 8.2380
_cell_length_b 8.2380
_cell_length_c 23.0196
_cell_angle_alpha 90.00
_cell_angle_beta 90.00
_cell_angle_gamma 120.00
_symmetry_space_group_name_H-M 'R -3 m'
_symmetry_Int_Tables_number 166
_symmetry_space_group_name_Hall '-R 3 2"'
loop_
_atom_site_label
_atom_site_type_symbol
_atom_site_fract_x
_atom_site_fract_y
_atom_site_fract_z
Rb1 Rb 0.0000 0.0000 0.0000
Rb2 Rb 0.0000 0.5000 0.0000
Y1 Y 0.0000 0.0000 0.5000
Np1 Np 0.0000 0.5000 0.5000
S1 S 0.0000 0.0000 0.2294
S2 S 0.0014 0.5007 0.2306
```

No. 4
Rb2NpZnS4: computed X-ray powder pattern (a wavelength of 1.5418 Å), based on the GGA-PBE geometry in Alexandria.
Peak positions follow from Bragg's law for the DFT cell and can differ from measured ones.

Largest 10 diffraction maxima, by intensity, 5 to 70 degrees two-theta:
| d [Å] | I (rel.) | (hkl) |
| --- | --- | --- |
| 7.251 | 100.0 | 1 1 0 |
| 3.625 | 91.1 | 2 2 0 |
| 3.305 | 84.8 | 0 0 2 |
| 3.082 | 77.3 | 0 4 0 |
| 3.411 | 69.8 | 2 2 -2 |
| 2.254 | 55.8 | 0 4 2 |
| 2.804 | 51.8 | 4 0 -2 |
| 2.074 | 42.5 | 4 4 -2 |
| 6.164 | 28.0 | 0 2 0 |
| 2.003 | 26.5 | 2 2 2 |

```
data_Rb2NpZnS4
_cell_length_a 11.2622
_cell_length_b 12.3283
_cell_length_c 8.3024
_cell_angle_alpha 90.00
_cell_angle_beta 127.24
_cell_angle_gamma 90.00
_symmetry_space_group_name_H-M 'C 1 2/c 1'
_symmetry_Int_Tables_number 15
loop_
_symmetry_equiv_pos_as_xyz
'x,y,z'
'-x,-y,-z'
'-x,y,-z+1/2'
'x,-y,z+1/2'
'x+1/2,y+1/2,z'
'-x+1/2,-y+1/2,-z'
'-x+1/2,y+1/2,-z+1/2'
'x+1/2,-y+1/2,z+1/2'
loop_
_atom_site_label
_atom_site_type_symbol
_atom_site_fract_x
_atom_site_fract_y
_atom_site_fract_z
Rb1 Rb 0.0000 0.0000 0.0000
Rb2 Rb 0.2500 0.2500 0.0000
Np1 Np 0.0000 0.5000 0.0000
Zn1 Zn 0.2500 0.2500 0.5000
S1 S 0.0581 0.2742 0.5147
S2 S 0.1900 0.4977 0.4113
```

No. 5
Rb2NpSc2Te6: computed X-ray powder pattern (a wavelength of 1.5418 Å), based on the GGA-PBE geometry in Alexandria.
Peak positions follow from Bragg's law for the DFT cell and can differ from measured ones.

Largest 10 diffraction maxima, by intensity, 5 to 70 degrees two-theta:
| d [Å] | I (rel.) | (hkl) |
| --- | --- | --- |
| 3.247 | 100.0 | 1 3 1 |
| 8.780 | 61.5 | 0 0 1 |
| 3.231 | 47.4 | 2 0 -2 |
| 2.467 | 41.3 | 1 3 -3 |
| 2.147 | 34.4 | 3 3 -1 |
| 2.014 | 21.1 | 2 0 3 |
| 2.651 | 21.0 | 1 3 2 |
| 6.262 | 19.6 | 1 1 0 |
| 2.155 | 18.6 | 0 6 0 |
| 1.793 | 17.2 | 2 6 -2 |

```
data_Rb2NpSc2Te6
_cell_length_a 7.4304
_cell_length_b 12.9313
_cell_length_c 9.1150
_cell_angle_alpha 90.00
_cell_angle_beta 105.57
_cell_angle_gamma 90.00
_symmetry_space_group_name_H-M 'C 1 2/m 1'
_symmetry_Int_Tables_number 12
loop_
_symmetry_equiv_pos_as_xyz
'x,y,z'
'-x,-y,-z'
'-x,y,-z'
'x,-y,z'
'x+1/2,y+1/2,z'
'-x+1/2,-y+1/2,-z'
'-x+1/2,y+1/2,-z'
'x+1/2,-y+1/2,z'
loop_
_atom_site_label
_atom_site_type_symbol
_atom_site_fract_x
_atom_site_fract_y
_atom_site_fract_z
Rb1 Rb 0.0000 0.1639 0.0000
Np1 Np 0.0000 0.0000 0.5000
Sc1 Sc 0.0000 0.3324 0.5000
Te1 Te 0.2175 0.5000 0.6909
Te2 Te 0.2350 0.1705 0.6914
```

No. 6
Rb2SmNp2Se6: computed X-ray powder pattern (a wavelength of 1.5418 Å), based on the GGA-PBE geometry in Alexandria.
Peak positions follow from Bragg's law for the DFT cell and can differ from measured ones.

Largest 10 diffraction maxima, by intensity, 5 to 70 degrees two-theta:
| d [Å] | I (rel.) | (hkl) |
| --- | --- | --- |
| 8.171 | 100.0 | 0 0 1 |
| 3.148 | 87.3 | 1 3 1 |
| 3.132 | 43.5 | 2 0 -2 |
| 2.111 | 31.3 | 3 3 -1 |
| 2.348 | 29.8 | 1 3 -3 |
| 1.754 | 24.0 | 2 6 -2 |
| 2.535 | 21.6 | 1 3 2 |
| 2.041 | 19.8 | 0 0 4 |
| 3.620 | 17.9 | 2 0 -1 |
| 2.353 | 16.2 | 2 0 2 |

```
data_Rb2SmNp2Se6
_cell_length_a 7.3076
_cell_length_b 12.7041
_cell_length_c 8.5148
_cell_angle_alpha 90.00
_cell_angle_beta 106.35
_cell_angle_gamma 90.00
_symmetry_space_group_name_H-M 'C 1 2/m 1'
_symmetry_Int_Tables_number 12
loop_
_symmetry_equiv_pos_as_xyz
'x,y,z'
'-x,-y,-z'
'-x,y,-z'
'x,-y,z'
'x+1/2,y+1/2,z'
'-x+1/2,-y+1/2,-z'
'-x+1/2,y+1/2,-z'
'x+1/2,-y+1/2,z'
loop_
_atom_site_label
_atom_site_type_symbol
_atom_site_fract_x
_atom_site_fract_y
_atom_site_fract_z
Rb1 Rb 0.0000 0.1648 0.0000
Sm1 Sm 0.0000 0.0000 0.5000
Np1 Np 0.0000 0.3339 0.5000
Se1 Se 0.2222 0.5000 0.6918
Se2 Se 0.2323 0.1710 0.6909
```